# 1
The following is a computed powder X-ray diffraction pattern of Cs2TiP2O8. It was derived from a crystal structure in Alexandria, relaxed with GGA-PBE, using copper Kα.
Intensities are scaled so that the largest is 100.

Structure:
Unit cell a=13.8143 b=7.3953 c=9.6931 alpha=90.00 beta=90.00 gamma=90.00
Atoms (fractional coordinates):
Cs 0.0834 0.2500 0.1231
Cs 0.1002 0.7500 0.4070
Cs 0.3998 0.2500 0.9070
Cs 0.4166 0.7500 0.6231
Cs 0.5834 0.2500 0.3769
Cs 0.6002 0.7500 0.0930
Cs 0.8998 0.2500 0.5930
Cs 0.9166 0.7500 0.8769
Ti 0.2143 0.7500 0.9714
Ti 0.2857 0.2500 0.4714
Ti 0.7143 0.7500 0.5286
Ti 0.7857 0.2500 0.0286
P 0.1577 0.0492 0.7216
P 0.1577 0.4508 0.7216
P 0.3423 0.5492 0.2216
P 0.3423 0.9508 0.2216
P 0.6577 0.0492 0.7784
P 0.6577 0.4508 0.7784
P 0.8423 0.5492 0.2784
P 0.8423 0.9508 0.2784
O 0.0548 0.5101 0.7031
O 0.0548 0.9899 0.7031
O 0.1024 0.7500 0.0365
O 0.1620 0.2500 0.7937
O 0.2141 0.0662 0.5840
O 0.2141 0.4338 0.5840
O 0.2195 0.5635 0.8231
O 0.2195 0.9365 0.8231
O 0.2805 0.0635 0.3231
O 0.2805 0.4365 0.3231
O 0.2859 0.5662 0.0840
O 0.2859 0.9338 0.0840
O 0.3380 0.7500 0.2937
O 0.3976 0.2500 0.5365
O 0.4452 0.0101 0.2031
O 0.4452 0.4899 0.2031
O 0.5548 0.5101 0.7969
O 0.5548 0.9899 0.7969
O 0.6024 0.7500 0.4635
O 0.6620 0.2500 0.7063
O 0.7141 0.0662 0.9160
O 0.7141 0.4338 0.9160
O 0.7195 0.5635 0.6769
O 0.7195 0.9365 0.6769
O 0.7805 0.0635 0.1769
O 0.7805 0.4365 0.1769
O 0.7859 0.5662 0.4160
O 0.7859 0.9338 0.4160
O 0.8380 0.7500 0.2063
O 0.8976 0.2500 0.9635
O 0.9452 0.0101 0.2969
O 0.9452 0.4899 0.2969

Largest 10 diffraction maxima, by intensity, 10 to 90 degrees two-theta:
- 24.6°, I = 100
- 22.9°, I = 96
- 28.9°, I = 55
- 30.5°, I = 37
- 27.4°, I = 32
- 39.5°, I = 23
- 24.1°, I = 21
- 25.5°, I = 18
- 30.4°, I = 17
- 41.6°, I = 15


# 2
The following is a computed powder X-ray diffraction pattern of CsTi3P5O19. It was derived from a crystal structure in Alexandria, relaxed with GGA-PBE, using copper Kα.
Intensities are scaled so that the largest is 100.

Structure:
Unit cell a=8.5866 b=8.5866 c=6.4027 alpha=98.70 beta=98.70 gamma=113.03
Atoms (fractional coordinates):
Cs 0.0000 0.0000 0.0000
Ti 0.1461 0.3929 0.6546
Ti 0.3929 0.1461 0.6546
Ti 0.6678 0.6678 0.3187
P 0.0879 0.7181 0.4734
P 0.2200 0.5135 0.2037
P 0.5135 0.2200 0.2037
P 0.5713 0.5713 0.7775
P 0.7181 0.0879 0.4734
O 0.0715 0.5896 0.6163
O 0.1381 0.4278 0.9638
O 0.1489 0.6591 0.2590
O 0.1536 0.3789 0.3389
O 0.2196 0.2196 0.6582
O 0.2245 0.9012 0.5836
O 0.3789 0.1536 0.3389
O 0.3871 0.5655 0.7368
O 0.4178 0.6091 0.2541
O 0.4278 0.1381 0.9638
O 0.5655 0.3871 0.7368
O 0.5896 0.0715 0.6163
O 0.6091 0.4178 0.2541
O 0.6591 0.1489 0.2590
O 0.6714 0.6714 0.0135
O 0.6738 0.6738 0.6263
O 0.7238 0.9154 0.3796
O 0.9012 0.2245 0.5836
O 0.9154 0.7238 0.3796

Largest 10 diffraction maxima, by intensity, 10 to 90 degrees two-theta:
- 28.6°, I = 100
- 21.0°, I = 59
- 12.4°, I = 58
- 23.1°, I = 57
- 24.0°, I = 56
- 19.0°, I = 54
- 24.3°, I = 48
- 30.1°, I = 46
- 27.1°, I = 42
- 32.8°, I = 42


# 3
The following is a computed powder X-ray diffraction pattern of CsTl2P2O6. It was derived from a crystal structure in Alexandria, relaxed with GGA-PBE, using copper Kα.
Intensities are scaled so that the largest is 100.

Structure:
Unit cell a=8.3386 b=8.3386 c=8.3386 alpha=43.45 beta=43.45 gamma=43.45
Atoms (fractional coordinates):
Cs 0.0000 0.0000 0.0000
Tl 0.1927 0.1927 0.1927
Tl 0.8073 0.8073 0.8073
P 0.4466 0.4466 0.4466
P 0.5534 0.5534 0.5534
O 0.2850 0.7062 0.7062
O 0.2938 0.2938 0.7150
O 0.2938 0.7150 0.2938
O 0.7062 0.2851 0.7062
O 0.7062 0.7062 0.2850
O 0.7150 0.2938 0.2938

Largest 10 diffraction maxima, by intensity, 10 to 90 degrees two-theta:
- 25.8°, I = 100
- 28.9°, I = 87
- 11.7°, I = 62
- 39.1°, I = 40
- 37.7°, I = 32
- 17.0°, I = 30
- 49.4°, I = 29
- 31.3°, I = 27
- 35.9°, I = 19
- 47.4°, I = 17


# 4
The following is a computed powder X-ray diffraction pattern of Cs2UP2O9. It was derived from a crystal structure in Alexandria, relaxed with GGA-PBE, using copper Kα.
Intensities are scaled so that the largest is 100.

Structure:
Unit cell a=12.7824 b=12.9347 c=6.3535 alpha=90.00 beta=90.00 gamma=90.00
Atoms (fractional coordinates):
Cs 0.0712 0.2500 0.0084
Cs 0.2500 0.5721 0.9855
Cs 0.2500 0.9279 0.9855
Cs 0.4288 0.2500 0.0084
Cs 0.5712 0.7500 0.9916
Cs 0.7500 0.0721 0.0145
Cs 0.7500 0.4279 0.0145
Cs 0.9288 0.7500 0.9916
U 0.0000 0.0000 0.5000
U 0.0000 0.5000 0.5000
U 0.5000 0.0000 0.5000
U 0.5000 0.5000 0.5000
P 0.1313 0.7500 0.4813
P 0.2500 0.1328 0.4860
P 0.2500 0.3672 0.4860
P 0.3687 0.7500 0.4813
P 0.6313 0.2500 0.5187
P 0.7500 0.6328 0.5140
P 0.7500 0.8672 0.5140
P 0.8687 0.2500 0.5187
O 0.0433 0.5113 0.2277
O 0.0433 0.9887 0.2277
O 0.0809 0.6533 0.5861
O 0.0809 0.8467 0.5861
O 0.1325 0.7500 0.2457
O 0.1515 0.0845 0.5914
O 0.1515 0.4155 0.5914
O 0.2500 0.1334 0.2505
O 0.2500 0.2500 0.5834
O 0.2500 0.3666 0.2505
O 0.2500 0.7500 0.5795
O 0.3485 0.0845 0.5914
O 0.3485 0.4155 0.5914
O 0.3675 0.7500 0.2457
O 0.4191 0.6533 0.5861
O 0.4191 0.8467 0.5861
O 0.4567 0.5113 0.2277
O 0.4567 0.9887 0.2277
O 0.5433 0.0113 0.7723
O 0.5433 0.4887 0.7723
O 0.5809 0.1533 0.4139
O 0.5809 0.3467 0.4139
O 0.6325 0.2500 0.7543
O 0.6515 0.5845 0.4086
O 0.6515 0.9155 0.4086
O 0.7500 0.2500 0.4205
O 0.7500 0.6334 0.7495
O 0.7500 0.7500 0.4166
O 0.7500 0.8666 0.7495
O 0.8485 0.5845 0.4086
O 0.8485 0.9155 0.4086
O 0.8675 0.2500 0.7543
O 0.9191 0.1533 0.4139
O 0.9191 0.3467 0.4139
O 0.9567 0.0113 0.7723
O 0.9567 0.4887 0.7723

Largest 10 diffraction maxima, by intensity, 10 to 90 degrees two-theta:
- 24.1°, I = 100
- 25.9°, I = 33
- 26.1°, I = 33
- 19.6°, I = 32
- 28.1°, I = 29
- 31.0°, I = 27
- 19.7°, I = 26
- 42.3°, I = 25
- 31.2°, I = 23
- 44.4°, I = 19


# 5
The following is a computed powder X-ray diffraction pattern of Cs3U2PO10. It was derived from a crystal structure in Alexandria, relaxed with GGA-PBE, using copper Kα.
Intensities are scaled so that the largest is 100.

Structure:
Unit cell a=8.0468 b=8.0468 c=12.5961 alpha=110.64 beta=110.64 gamma=62.34
Atoms (fractional coordinates):
Cs 0.0000 0.0000 0.0000
Cs 0.0000 0.0000 0.5000
Cs 0.0228 0.5744 0.6833
Cs 0.4256 0.9772 0.8167
Cs 0.5744 0.0228 0.1833
Cs 0.9772 0.4256 0.3167
U 0.0000 0.5000 0.0000
U 0.5000 0.0000 0.5000
U 0.5000 0.5000 0.0000
U 0.5000 0.5000 0.5000
P 0.2714 0.7286 0.2500
P 0.7286 0.2714 0.7500
O 0.0709 0.7429 0.1664
O 0.1772 0.2985 0.0745
O 0.2191 0.4840 0.9327
O 0.2571 0.9291 0.3336
O 0.2623 0.6030 0.5423
O 0.2985 0.1772 0.5745
O 0.3338 0.5807 0.3233
O 0.3970 0.7377 0.9577
O 0.4193 0.6662 0.1767
O 0.4840 0.2191 0.4327
O 0.5160 0.7809 0.5673
O 0.5807 0.3338 0.8233
O 0.6030 0.2623 0.0423
O 0.6662 0.4193 0.6767
O 0.7015 0.8228 0.4255
O 0.7377 0.3970 0.4577
O 0.7429 0.0709 0.6664
O 0.7809 0.5160 0.0673
O 0.8228 0.7015 0.9255
O 0.9291 0.2571 0.8336

Largest 10 diffraction maxima, by intensity, 10 to 90 degrees two-theta:
- 25.7°, I = 100
- 26.5°, I = 64
- 26.8°, I = 60
- 15.4°, I = 54
- 28.4°, I = 48
- 23.9°, I = 43
- 26.2°, I = 38
- 29.1°, I = 36
- 45.2°, I = 31
- 27.7°, I = 30